Diffraction record for Li3NiP2O8. The powder XRD pattern is calculated, not measured: it uses a DFT-relaxed cell (PBE+U, Alexandria) and Cu Ka.

Largest 8 diffraction maxima, low angle first, 2θ = 10–90°:
(0 1 1), 2θ 14.92, intensity 100; (0 3 1), 2θ 20.46, intensity 72; (1 1 -2), 2θ 23.83, intensity 35; (0 4 1), 2θ 24.31, intensity 43; (1 2 0), 2θ 24.53, intensity 68; (1 2 -2), 2θ 25.35, intensity 60; (0 4 2), 2θ 34.79, intensity 85; (1 6 -1), 2θ 34.95, intensity 79

Atomic structure:
```
data_Li3NiP2O8
_space_group_name_H-M_alt 'P 1'
_space_group_IT_number 1
_cell_length_a 4.9519
_cell_length_b 18.0178
_cell_length_c 7.8531
_cell_angle_alpha 90.00
_cell_angle_beta 126.80
_cell_angle_gamma 90.00
loop_
_space_group_symop_operation_xyz
'x,y,z'
loop_
_atom_site_label
_atom_site_fract_x
_atom_site_fract_y
_atom_site_fract_z
_atom_site_occupancy
Li1 0.0180 0.0565 0.2349 1
Li2 0.0180 0.4435 0.7349 1
Li3 0.2694 0.1170 0.9982 1
Li4 0.2694 0.3830 0.4982 1
Li5 0.3919 0.7025 0.7027 1
Li6 0.3919 0.7975 0.2027 1
Li7 0.6081 0.2025 0.7973 1
Li8 0.6081 0.2975 0.2973 1
Li9 0.7306 0.6170 0.5018 1
Li10 0.7306 0.8830 0.0018 1
Li11 0.9820 0.5565 0.2651 1
Li12 0.9820 0.9435 0.7651 1
Ni1 0.1811 0.6274 0.9797 1
Ni2 0.1811 0.8726 0.4797 1
Ni3 0.8189 0.1274 0.5203 1
Ni4 0.8189 0.3726 0.0203 1
P1 0.1031 0.2152 0.2868 1
P2 0.1031 0.2848 0.7868 1
P3 0.4795 0.5330 0.7651 1
P4 0.4795 0.9670 0.2651 1
P5 0.5205 0.0330 0.7349 1
P6 0.5205 0.4670 0.2349 1
P7 0.8969 0.7152 0.2132 1
P8 0.8969 0.7848 0.7132 1
O1 0.0155 0.1726 0.0900 1
O2 0.0155 0.3274 0.5900 1
O3 0.1557 0.2000 0.7696 1
O4 0.1557 0.3000 0.2696 1
O5 0.1731 0.5615 0.7553 1
O6 0.1731 0.9385 0.2553 1
O7 0.1810 0.7001 0.1882 1
O8 0.1810 0.7999 0.6882 1
O9 0.1856 0.0655 0.5423 1
O10 0.1856 0.4345 0.0423 1
O11 0.4207 0.5562 0.5539 1
O12 0.4207 0.9438 0.0539 1
O13 0.4461 0.1885 0.4906 1
O14 0.4461 0.3115 0.9906 1
O15 0.4741 0.0532 0.2747 1
O16 0.4741 0.4468 0.7747 1
O17 0.5259 0.5532 0.2253 1
O18 0.5259 0.9468 0.7253 1
O19 0.5539 0.6885 0.0094 1
O20 0.5539 0.8115 0.5094 1
O21 0.5793 0.0562 0.9461 1
O22 0.5793 0.4438 0.4461 1
O23 0.8144 0.5655 0.9577 1
O24 0.8144 0.9345 0.4577 1
O25 0.8190 0.2001 0.3118 1
O26 0.8190 0.2999 0.8118 1
O27 0.8269 0.0615 0.7447 1
O28 0.8269 0.4385 0.2447 1
O29 0.8443 0.7000 0.7304 1
O30 0.8443 0.8000 0.2304 1
O31 0.9845 0.6726 0.4100 1
O32 0.9845 0.8274 0.9100 1
```